BaCaEuWO6: calculated X-ray diffraction stick pattern (Cu Kα (λ = 1.5418 Å)), based on a structure optimized by DFT (GGA+U).
Intensities are scaled so that the largest is 100.

Cell and atoms:
Lattice parameters (Å, degrees): 5.9685 5.9685 5.9685 60.00 60.00 60.00
Fractional coordinates of all 10 atoms:
Ba 0.0000 0.0000 0.0000
Ca 0.2500 0.2500 0.2500
Eu 0.5000 0.5000 0.5000
W 0.7500 0.7500 0.7500
O 0.5187 0.5187 0.9813
O 0.5187 0.9813 0.5187
O 0.5187 0.9813 0.9813
O 0.9813 0.5187 0.5187
O 0.9813 0.5187 0.9813
O 0.9813 0.9813 0.5187

Principal peaks in the range 2θ = 10–90°, sorted by position:
| 2θ/deg | intensity |
| --- | --- |
| 18.2 | 22 |
| 29.9 | 100 |
| 35.3 | 11 |
| 42.9 | 30 |
| 53.2 | 40 |
| 56.7 | 5 |
| 62.2 | 18 |
| 70.6 | 18 |
| 78.5 | 6 |
| 86.2 | 22 |